The following is a calculated PXRD pattern of LiMn2P2O8. It was derived from a cell relaxed with PBE+U, using Cu Kα.

Structural model:
```
data_LiMn2P2O8
_cell_length_a 5.087
_cell_length_b 7.228
_cell_length_c 9.714
_cell_angle_alpha 90.08
_cell_angle_beta 94.28
_cell_angle_gamma 90.08
_space_group_name_H-M_alt 'P 1'
_space_group_IT_number 1
loop_
_space_group_symop_operation_xyz
'x,y,z'
loop_
_atom_site_label
_atom_site_type_symbol
_atom_site_fract_x
_atom_site_fract_y
_atom_site_fract_z
Li1 Li 0.000 0.000 0.000
Li2 Li 0.001 0.464 0.500
Mn1 Mn 0.543 0.522 0.720
Mn2 Mn 0.543 0.942 0.221
Mn3 Mn 0.987 0.504 0.030
Mn4 Mn 0.989 0.960 0.529
P1 P 0.002 0.257 0.764
P2 P 0.003 0.207 0.264
P3 P 0.464 0.748 0.928
P4 P 0.465 0.716 0.427
O1 O 0.036 0.261 0.923
O2 O 0.037 0.203 0.424
O3 O 0.072 0.061 0.719
O4 O 0.073 0.402 0.219
O5 O 0.156 0.045 0.200
O6 O 0.157 0.418 0.700
O7 O 0.181 0.745 0.973
O8 O 0.183 0.718 0.474
O9 O 0.476 0.783 0.770
O10 O 0.478 0.680 0.270
O11 O 0.592 0.546 0.933
O12 O 0.592 0.918 0.433
O13 O 0.633 0.882 0.023
O14 O 0.636 0.583 0.523
O15 O 0.704 0.175 0.211
O16 O 0.704 0.289 0.711
```

Peak list (8 most intense, 2θ = 15–90°, by angle)
(hkl)	d/Å	Position (°2θ)	I_rel
0 1 1	5.793	15.30	74
1 1 0	4.152	21.40	100
0 1 2	4.024	22.09	45
1 1 -1	3.904	22.78	68
1 1 1	3.735	23.83	31
1 2 -2	2.565	34.98	32
2 0 0	2.536	35.39	40
0 0 4	2.422	37.13	30